Computed powder XRD pattern of KGe3P3 for Cu Kα, from a DFT-relaxed cell (PBE, Alexandria).
Kinematic intensities with the Lorentz-polarization factor, no thermal factor.

Atomic structure:
```
data_KGe3P3
_chemical_formula_sum 'K6 Ge18 P18'
_symmetry_space_group_name_H-M 'R -3'
_symmetry_Int_Tables_number 148
_symmetry_space_group_name_Hall '-R 3'
_cell_length_a 7.6342
_cell_length_b 7.6342
_cell_length_c 22.4463
_cell_angle_alpha 90.00
_cell_angle_beta 90.00
_cell_angle_gamma 120.00
loop_
_atom_site_label
_atom_site_type_symbol
_atom_site_fract_x
_atom_site_fract_y
_atom_site_fract_z
K1 K 0.0000 0.0000 0.1684
Ge1 Ge 0.0039 0.3435 0.2903
P1 P 0.0046 0.6598 0.6016
```

The 10 most intense peaks (15° ≤ 2θ ≤ 90°), by intensity:
2theta	I_rel	h k l
26.21	1000	2 -1 3
40.95	832	3 0 0
33.54	644	1 1 6
55.66	427	3 0 9
23.30	423	1 1 0
43.34	397	1 1 9
36.01	271	0 0 9
42.77	248	3 0 3
49.27	169	2 2 3
53.93	166	4 -2 6